Entry 1:
Simulated powder X-ray diffraction pattern
Compound: LiZrH3
Radiation: Cu Kα (λ = 1.5418 Å)
Structure: the PBE geometry in Alexandria

Structure:
```
data_LiZrH3
_cell_length_a 5.9071
_cell_length_b 4.3174
_cell_length_c 6.9242
_cell_angle_alpha 90.00
_cell_angle_beta 107.00
_cell_angle_gamma 90.00
_space_group_name_H-M_alt 'P 1 21/c 1'
_space_group_IT_number 14
loop_
_space_group_symop_operation_xyz
'x,y,z'
'-x,-y,-z'
'-x,y+1/2,-z+1/2'
'x,-y+1/2,z+1/2'
loop_
_atom_site_label
_atom_site_type_symbol
_atom_site_fract_x
_atom_site_fract_y
_atom_site_fract_z
_atom_site_occupancy
Li1 Li 0.1228 0.2424 0.0304 1
Zr1 Zr 0.3302 0.7460 0.3327 1
H1 H 0.0018 0.5040 0.2792 1
H2 H 0.1809 0.6628 0.0451 1
H3 H 0.4309 0.2488 0.8580 1
```

The 10 most intense peaks (2θ from 10° to 80°), by angle:
2θ 15.69, I 43
2θ 25.98, I 100
2θ 26.94, I 27
2θ 34.13, I 100
2θ 35.21, I 64
2θ 38.07, I 39
2θ 41.85, I 21
2θ 52.84, I 38
2θ 55.81, I 34
2θ 59.85, I 18


Entry 2:
Simulated powder X-ray diffraction pattern
Compound: LuH5
Radiation: Cu Kα (λ = 1.5418 Å)
Structure: the PBE geometry in Alexandria

Structure:
```
data_LuH5
_cell_length_a 3.3956
_cell_length_b 7.0366
_cell_length_c 3.4015
_cell_angle_alpha 90.00
_cell_angle_beta 90.00
_cell_angle_gamma 90.00
_space_group_name_H-M_alt 'C m m m'
_space_group_IT_number 65
_space_group_name_Hall '-C 2 2'
loop_
_atom_site_label
_atom_site_type_symbol
_atom_site_fract_x
_atom_site_fract_y
_atom_site_fract_z
_atom_site_occupancy
Lu1 Lu 0.0000 0.0000 0.0000 1
H1 H 0.0000 0.1751 0.5000 1
H2 H 0.0000 0.3080 0.0000 1
H3 H 0.0000 0.5000 0.5000 1
```

The 10 most intense peaks (2θ from 10° to 80°), by angle:
2θ 25.31, I 70
2θ 26.20, I 65
2θ 29.20, I 100
2θ 36.75, I 54
2θ 39.63, I 89
2θ 47.09, I 27
2θ 54.68, I 37
2θ 60.51, I 26
2θ 62.48, I 24
2θ 67.11, I 19


Entry 3:
Simulated powder X-ray diffraction pattern
Compound: TbLu3H
Radiation: Cu Kα (λ = 1.5418 Å)
Structure: the PBE geometry in Alexandria

Structure:
```
data_TbLu3H
_cell_length_a 4.8955
_cell_length_b 4.8955
_cell_length_c 4.8955
_cell_angle_alpha 90.00
_cell_angle_beta 90.00
_cell_angle_gamma 90.00
_space_group_name_H-M_alt 'P m -3 m'
_space_group_IT_number 221
_space_group_name_Hall '-P 4 2 3'
loop_
_atom_site_label
_atom_site_type_symbol
_atom_site_fract_x
_atom_site_fract_y
_atom_site_fract_z
_atom_site_occupancy
Tb1 Tb 0.0000 0.0000 0.0000 1
Lu1 Lu 0.0000 0.5000 0.5000 1
H1 H 0.5000 0.5000 0.5000 1
```

The 6 most intense peaks (2θ from 10° to 80°), by angle:
2θ 31.66, I 100
2θ 36.72, I 51
2θ 52.90, I 36
2θ 62.97, I 43
2θ 66.12, I 12
2θ 78.09, I 6


Entry 4:
Simulated powder X-ray diffraction pattern
Compound: LuZrH
Radiation: Cu Kα (λ = 1.5418 Å)
Structure: the PBE geometry in Alexandria

Structure:
```
data_LuZrH
_cell_length_a 3.3138
_cell_length_b 3.3138
_cell_length_c 16.7329
_cell_angle_alpha 90.00
_cell_angle_beta 90.00
_cell_angle_gamma 120.00
_space_group_name_H-M_alt 'R 3 m'
_space_group_IT_number 160
_space_group_name_Hall 'R 3 -2"'
loop_
_atom_site_label
_atom_site_type_symbol
_atom_site_fract_x
_atom_site_fract_y
_atom_site_fract_z
_atom_site_occupancy
Lu1 Lu 0.0000 0.0000 0.0000 1
Zr1 Zr 0.0000 0.0000 0.1835 1
H1 H 0.0000 0.0000 0.7768 1
```

The 10 most intense peaks (2θ from 10° to 80°), by angle:
2θ 15.89, I 25
2θ 31.63, I 100
2θ 32.09, I 40
2θ 33.00, I 29
2θ 38.02, I 42
2θ 41.45, I 62
2θ 49.63, I 17
2θ 55.46, I 28
2θ 64.46, I 14
2θ 65.53, I 31


Entry 5:
Simulated powder X-ray diffraction pattern
Compound: Mg4H
Radiation: Cu Kα (λ = 1.5418 Å)
Structure: the PBE geometry in Alexandria

Structure:
```
data_Mg4H
_cell_length_a 4.5145
_cell_length_b 4.5145
_cell_length_c 4.5145
_cell_angle_alpha 90.00
_cell_angle_beta 90.00
_cell_angle_gamma 90.00
_space_group_name_H-M_alt 'P m -3 m'
_space_group_IT_number 221
_space_group_name_Hall '-P 4 2 3'
loop_
_atom_site_label
_atom_site_type_symbol
_atom_site_fract_x
_atom_site_fract_y
_atom_site_fract_z
_atom_site_occupancy
Mg1 Mg 0.0000 0.0000 0.0000 1
Mg2 Mg 0.0000 0.5000 0.5000 1
H1 H 0.5000 0.5000 0.5000 1
```

The 5 most intense peaks (2θ from 10° to 80°), by angle:
2θ 34.41, I 100
2θ 39.94, I 52
2θ 57.76, I 33
2θ 68.99, I 36
2θ 72.53, I 11